# 1
Structure and simulated powder XRD pattern of K2UCu3S5 (a DFT-relaxed cell (PBE, Alexandria); CuKα).
Lines closer than 0.1° are merged.

Cell: 7.314 7.314 17.656 Å, 90.00 90.00 148.75°
Fractional positions:
K: 0.237 0.763 0.632
K: 0.237 0.763 0.868
K: 0.763 0.237 0.132
K: 0.763 0.237 0.368
U: 0.500 0.500 0.000
U: 0.500 0.500 0.500
Cu: 0.042 0.958 0.144
Cu: 0.042 0.958 0.356
Cu: 0.448 0.552 0.750
Cu: 0.552 0.448 0.250
Cu: 0.958 0.042 0.644
Cu: 0.958 0.042 0.856
S: 0.124 0.876 0.031
S: 0.124 0.876 0.469
S: 0.144 0.856 0.250
S: 0.447 0.553 0.142
S: 0.447 0.553 0.358
S: 0.553 0.447 0.642
S: 0.553 0.447 0.858
S: 0.856 0.144 0.750
S: 0.876 0.124 0.531
S: 0.876 0.124 0.969

Peak list (8 most intense, 10 to 90 degrees two-theta, by angle)
2θ 10.0, intensity 20.0; 2θ 12.6, intensity 100.0; 2θ 16.1, intensity 18.3; 2θ 29.6, intensity 18.7; 2θ 31.1, intensity 33.7; 2θ 31.3, intensity 16.1; 2θ 36.0, intensity 32.1; 2θ 44.5, intensity 14.5

# 2
Structure and simulated powder XRD pattern of KY2Cu2S4 (a DFT-relaxed cell (PBE, Alexandria); CuKα).
Lines closer than 0.1° are merged.

Cell: 7.641 7.641 7.466 Å, 115.90 115.90 27.57°
Fractional positions:
K: 0.000 0.000 0.000
Y: 0.126 0.126 0.558
Y: 0.874 0.874 0.442
Cu: 0.308 0.308 0.970
Cu: 0.692 0.692 0.030
S: 0.218 0.218 0.266
S: 0.459 0.459 0.274
S: 0.541 0.541 0.726
S: 0.782 0.782 0.734

Peak list (8 most intense, 10 to 90 degrees two-theta, by angle)
2θ 14.0, intensity 67.5; 2θ 30.8, intensity 100.0; 2θ 35.2, intensity 87.5; 2θ 35.4, intensity 62.7; 2θ 38.1, intensity 96.0; 2θ 41.0, intensity 69.6; 2θ 45.6, intensity 58.7; 2θ 50.1, intensity 56.8

# 3
Structure and simulated powder XRD pattern of K5CuSb2 (a DFT-relaxed cell (PBE, Alexandria); CuKα).
Lines closer than 0.1° are merged.

Cell: 10.093 10.093 10.093 Å, 34.59 34.59 34.59°
Fractional positions:
K: 0.000 0.000 0.000
K: 0.135 0.135 0.135
K: 0.283 0.283 0.283
K: 0.717 0.717 0.717
K: 0.865 0.865 0.865
Cu: 0.500 0.500 0.500
Sb: 0.412 0.412 0.412
Sb: 0.588 0.588 0.588

Peak list (8 most intense, 10 to 90 degrees two-theta, by angle)
2θ 17.3, intensity 51.7; 2θ 18.2, intensity 21.5; 2θ 27.9, intensity 42.5; 2θ 29.8, intensity 100.0; 2θ 36.0, intensity 17.8; 2θ 38.9, intensity 14.7; 2θ 41.2, intensity 13.7; 2θ 52.9, intensity 18.2

# 4
Structure and simulated powder XRD pattern of K2Cu2Se3 (a DFT-relaxed cell (PBE, Alexandria); CuKα).
Lines closer than 0.1° are merged.

Cell: 8.979 8.979 11.963 Å, 124.12 124.12 26.59°
Fractional positions:
K: 0.123 0.123 0.470
K: 0.233 0.233 0.842
K: 0.767 0.767 0.158
K: 0.877 0.877 0.530
Cu: 0.078 0.078 0.137
Cu: 0.478 0.478 0.190
Cu: 0.522 0.522 0.810
Cu: 0.922 0.922 0.863
Se: 0.092 0.092 0.942
Se: 0.356 0.356 0.726
Se: 0.446 0.446 0.371
Se: 0.554 0.554 0.629
Se: 0.644 0.644 0.274
Se: 0.908 0.908 0.058

Peak list (8 most intense, 10 to 90 degrees two-theta, by angle)
2θ 12.4, intensity 100.0; 2θ 25.5, intensity 50.9; 2θ 26.5, intensity 47.5; 2θ 31.3, intensity 78.2; 2θ 33.2, intensity 42.3; 2θ 43.7, intensity 30.9; 2θ 43.8, intensity 45.6; 2θ 44.4, intensity 54.7

# 5
Structure and simulated powder XRD pattern of K2CuSe3 (a DFT-relaxed cell (PBE, Alexandria); CuKα).
Lines closer than 0.1° are merged.

Cell: 4.474 4.474 19.377 Å, 90.00 90.00 120.00°
Fractional positions:
K: 0.000 0.000 0.128
K: 0.000 0.000 0.372
K: 0.000 0.000 0.628
K: 0.000 0.000 0.872
Cu: 0.333 0.667 0.250
Cu: 0.667 0.333 0.750
Se: 0.333 0.667 0.013
Se: 0.333 0.667 0.487
Se: 0.333 0.667 0.750
Se: 0.667 0.333 0.250
Se: 0.667 0.333 0.513
Se: 0.667 0.333 0.987

Peak list (8 most intense, 10 to 90 degrees two-theta, by angle)
2θ 18.3, intensity 46.8; 2θ 29.5, intensity 100.0; 2θ 37.1, intensity 21.0; 2θ 40.3, intensity 58.8; 2θ 44.6, intensity 28.7; 2θ 50.8, intensity 20.2; 2θ 56.0, intensity 36.1; 2θ 66.7, intensity 16.9

# 6
Structure and simulated powder XRD pattern of K3Cu8Se6 (a DFT-relaxed cell (PBE, Alexandria); CuKα).
Lines closer than 0.1° are merged.

Cell: 9.269 9.269 10.200 Å, 105.31 105.31 24.81°
Fractional positions:
K: 0.000 0.000 0.000
K: 0.191 0.191 0.299
K: 0.809 0.809 0.701
Cu: 0.016 0.016 0.637
Cu: 0.198 0.198 0.914
Cu: 0.396 0.396 0.217
Cu: 0.421 0.421 0.472
Cu: 0.579 0.579 0.528
Cu: 0.604 0.604 0.783
Cu: 0.802 0.802 0.086
Cu: 0.984 0.984 0.363
Se: 0.155 0.155 0.648
Se: 0.342 0.342 0.976
Se: 0.460 0.460 0.714
Se: 0.540 0.540 0.286
Se: 0.658 0.658 0.024
Se: 0.845 0.845 0.352

Peak list (8 most intense, 10 to 90 degrees two-theta, by angle)
2θ 11.6, intensity 100.0; 2θ 30.3, intensity 25.6; 2θ 34.2, intensity 26.0; 2θ 37.0, intensity 20.0; 2θ 41.6, intensity 35.6; 2θ 42.4, intensity 31.9; 2θ 45.6, intensity 23.8; 2θ 47.1, intensity 27.0

# 7
Structure and simulated powder XRD pattern of K3Cu2Se4 (a DFT-relaxed cell (PBE, Alexandria); CuKα).
Lines closer than 0.1° are merged.

Cell: 4.166 7.427 8.865 Å, 66.42 76.43 89.94°
Fractional positions:
K: 0.000 0.000 0.000
K: 0.143 0.737 0.712
K: 0.857 0.263 0.288
Cu: 0.314 0.593 0.370
Cu: 0.686 0.407 0.630
Se: 0.202 0.249 0.598
Se: 0.468 0.623 0.064
Se: 0.532 0.377 0.936
Se: 0.798 0.751 0.402

Peak list (8 most intense, 10 to 90 degrees two-theta, by angle)
2θ 13.1, intensity 100.0; 2θ 13.3, intensity 40.5; 2θ 24.5, intensity 45.2; 2θ 26.9, intensity 39.9; 2θ 32.9, intensity 93.1; 2θ 41.8, intensity 31.7; 2θ 43.4, intensity 43.7; 2θ 43.9, intensity 63.4

# 8
Structure and simulated powder XRD pattern of KCu3Se3 (a DFT-relaxed cell (PBE, Alexandria); CuKα).
Lines closer than 0.1° are merged.

Cell: 9.102 9.102 9.102 Å, 43.85 43.85 43.85°
Fractional positions:
K: 0.167 0.167 0.167
K: 0.833 0.833 0.833
Cu: 0.028 0.702 0.366
Cu: 0.298 0.634 0.972
Cu: 0.366 0.028 0.702
Cu: 0.634 0.972 0.298
Cu: 0.702 0.366 0.028
Cu: 0.972 0.298 0.634
Se: 0.072 0.402 0.732
Se: 0.268 0.928 0.598
Se: 0.402 0.732 0.072
Se: 0.598 0.268 0.928
Se: 0.732 0.072 0.402
Se: 0.928 0.598 0.268

Peak list (8 most intense, 10 to 90 degrees two-theta, by angle)
2θ 10.8, intensity 100.0; 2θ 26.2, intensity 34.9; 2θ 28.4, intensity 59.9; 2θ 42.4, intensity 59.7; 2θ 46.3, intensity 51.5; 2θ 52.0, intensity 29.3; 2θ 64.5, intensity 16.3; 2θ 74.8, intensity 16.6